Diffraction record for Zn2SnSbO6. The powder diffraction line list is theoretical, not measured: it uses a crystal structure in Alexandria, relaxed with PBE and Cu Kα, 1.54184 Å.
Lines closer than 0.1° are merged.

abc: 5.4303 8.0550 5.4321
angles: 90.00 90.00 90.00
Fractional coordinates of all 20 atoms:
Zn  0.0227  0.2500  0.4888
Zn  0.4717  0.7500  0.9889
Zn  0.5283  0.2500  0.0111
Zn  0.9773  0.7500  0.5112
Sn  0.0000  0.0000  0.0000
Sn  0.0000  0.5000  0.0000
Sb  0.5000  0.0000  0.5000
Sb  0.5000  0.5000  0.5000
O  0.0981  0.7500  0.8728
O  0.1694  0.5714  0.3318
O  0.1694  0.9286  0.3318
O  0.3287  0.0719  0.8358
O  0.3287  0.4281  0.8358
O  0.4069  0.2500  0.3802
O  0.5931  0.7500  0.6198
O  0.6713  0.5719  0.1642
O  0.6713  0.9281  0.1642
O  0.8306  0.0714  0.6682
O  0.8306  0.4286  0.6682
O  0.9019  0.2500  0.1272

Largest 8 diffraction maxima, by intensity, 2θ = 5–70°:
2theta, Rel. int., (hkl)
32.2, 100, 1 2 -1
33.0, 47, 2 0 0
58.4, 46, 1 2 3
56.9, 24, 2 4 0
47.3, 21, 2 0 -2
67.4, 13, 2 4 2
45.0, 13, 0 4 0
23.2, 10, 1 0 1